TbPuSe4: calculated XRD peak list (Cu Kα (weighted mean of Kα1 and Kα2)), based on a crystal structure in Alexandria, relaxed with PBE.
Lines closer than 0.1° are merged.

Main lines, most intense first (10 to 90 degrees two-theta):
h k l	2θ (°)	I_rel
1 1 1	21.72	100
1 2 2	37.92	63
0 1 1	17.58	51
2 2 0	37.49	42
1 1 2	29.44	36
3 0 2	45.28	33

Structural model:
a = 6.9910 Å, b = 6.5962 Å, c = 7.8310 Å
α = 90.00°, β = 90.00°, γ = 90.00°
Positions (direct):
Tb 0.0000 0.0000 0.0000
Tb 0.0000 0.5000 0.5000
Pu 0.5000 0.0000 0.3017
Pu 0.5000 0.5000 0.8017
Se 0.1818 0.2352 0.2613
Se 0.1818 0.2648 0.7613
Se 0.3312 0.7491 0.0570
Se 0.3312 0.7509 0.5570
Se 0.6688 0.2491 0.5570
Se 0.6688 0.2509 0.0570
Se 0.8182 0.7352 0.7613
Se 0.8182 0.7648 0.2613

=====

TbPuSe3: calculated XRD peak list (Cu Kα (weighted mean of Kα1 and Kα2)), based on a crystal structure in Alexandria, relaxed with PBE.
Lines closer than 0.1° are merged.

Main lines, most intense first (10 to 90 degrees two-theta):
h k l	2θ (°)	I_rel
1 2 1	35.06	100
0 1 2	23.32	58
1 1 3	39.26	55
1 1 1	27.12	48
1 1 2	32.17	29
0 2 0	25.22	29

Structural model:
a = 4.0715 Å, b = 7.0625 Å, c = 9.0642 Å
α = 90.00°, β = 90.00°, γ = 90.00°
Positions (direct):
Tb 0.2500 0.2500 0.1018
Tb 0.7500 0.7500 0.8982
Pu 0.2500 0.7500 0.3466
Pu 0.7500 0.2500 0.6534
Se 0.2500 0.0227 0.8298
Se 0.2500 0.2500 0.4345
Se 0.2500 0.4773 0.8298
Se 0.7500 0.5227 0.1702
Se 0.7500 0.7500 0.5655
Se 0.7500 0.9773 0.1702

=====

Pu2TeSe: calculated XRD peak list (Cu Kα (weighted mean of Kα1 and Kα2)), based on a crystal structure in Alexandria, relaxed with PBE.
Lines closer than 0.1° are merged.

Main lines, most intense first (10 to 90 degrees two-theta):
h k l	2θ (°)	I_rel
1 1 1	29.46	100
0 0 4	42.15	75
1 -1 2	25.44	28
2 -2 4	52.26	26
1 1 5	69.26	16
1 1 -7	69.35	16

Structural model:
a = 7.4235 Å, b = 7.4244 Å, c = 9.5877 Å
α = 105.05°, β = 104.96°, γ = 109.34°
Positions (direct):
Pu 0.0544 0.3205 0.1243
Pu 0.1618 0.9271 0.3781
Pu 0.2852 0.5499 0.6252
Pu 0.4298 0.1948 0.8744
Pu 0.5702 0.8052 0.1256
Pu 0.7148 0.4501 0.3748
Pu 0.8382 0.0729 0.6219
Pu 0.9456 0.6795 0.8757
Te 0.3167 0.0674 0.1318
Te 0.4401 0.6893 0.3821
Te 0.5599 0.3107 0.6179
Te 0.6833 0.9326 0.8682
Se 0.0662 0.8144 0.6340
Se 0.1937 0.4432 0.8836
Se 0.8063 0.5568 0.1164
Se 0.9338 0.1856 0.3660